[1]
This entry pairs a crystal structure of LaGa2Te4 with its theoretical PXRD pattern. Radiation: Cu Kα. Structure: the GGA-PBE geometry in Alexandria.
No peak broadening, texture or thermal motion is included.

Structural model:
Unit cell a=8.267 b=8.267 c=6.872 alpha=90.00 beta=90.00 gamma=90.00
Space group I4/m (No. 87)
Symmetry-distinct sites (fractional):
La 0.000 0.000 0.000 x2
Ga 0.000 0.500 0.250 x4
Te 0.167 0.301 0.500 x8

The 12 most intense peaks (10 to 90 degrees two-theta), sorted by position:
hkl 0 0 2, 25.93 deg, d = 3.436 Å, intensity 22.6; hkl 2 1 1, 27.39 deg, d = 3.256 Å, intensity 100.0; hkl 1 1 2, 30.17 deg, d = 2.962 Å, intensity 11.0; hkl 2 2 0, 30.59 deg, d = 2.923 Å, intensity 29.1; hkl 2 0 2, 33.93 deg, d = 2.642 Å, intensity 21.0; hkl 1 3 2, 43.50 deg, d = 2.080 Å, intensity 43.9; hkl 2 1 3, 46.64 deg, d = 1.947 Å, intensity 29.9; hkl 1 4 1, 47.22 deg, d = 1.925 Å, intensity 25.6; hkl 4 3 1, 57.32 deg, d = 1.607 Å, intensity 12.0; hkl 1 4 3, 61.46 deg, d = 1.509 Å, intensity 11.5; hkl 3 5 2, 72.07 deg, d = 1.311 Å, intensity 17.2; hkl 2 1 5, 73.50 deg, d = 1.288 Å, intensity 9.3

=====

[2]
This entry pairs a crystal structure of La2GaTe4 with its theoretical PXRD pattern. Radiation: Cu Kα. Structure: the GGA-PBE geometry in Alexandria.
No peak broadening, texture or thermal motion is included.

Structural model:
Unit cell a=7.270 b=7.383 c=8.905 alpha=90.00 beta=107.28 gamma=90.00
Space group P2_1/m (No. 11)
Symmetry-distinct sites (fractional):
La 0.208 0.250 0.045 x2
La 0.263 0.250 0.570 x2
Ga 0.279 0.750 0.322 x2
Te 0.005 0.005 0.263 x4
Te 0.413 0.750 0.067 x2
Te 0.431 0.750 0.646 x2

The 12 most intense peaks (10 to 90 degrees two-theta), sorted by position:
hkl 0 2 0, 24.11 deg, d = 3.691 Å, intensity 31.2; hkl 1 2 0, 27.36 deg, d = 3.259 Å, intensity 77.3; hkl 1 0 2, 27.67 deg, d = 3.224 Å, intensity 40.2; hkl 2 0 -2, 27.94 deg, d = 3.193 Å, intensity 46.4; hkl 2 1 0, 28.41 deg, d = 3.141 Å, intensity 26.2; hkl 1 1 2, 30.25 deg, d = 2.955 Å, intensity 46.7; hkl 2 1 -2, 30.50 deg, d = 2.931 Å, intensity 49.7; hkl 0 2 2, 32.15 deg, d = 2.784 Å, intensity 100.0; hkl 2 2 0, 35.50 deg, d = 2.529 Å, intensity 34.9; hkl 1 0 -4, 40.52 deg, d = 2.226 Å, intensity 34.3; hkl 3 1 0, 40.87 deg, d = 2.208 Å, intensity 21.2; hkl 0 4 0, 49.38 deg, d = 1.846 Å, intensity 25.9

=====

What did the second record say?
This entry pairs a crystal structure of La2GaTe4 with its theoretical PXRD pattern. Radiation: Cu Kα. Structure: the GGA-PBE geometry in Alexandria.
No peak broadening, texture or thermal motion is included.

Structural model:
Unit cell a=7.270 b=7.383 c=8.905 alpha=90.00 beta=107.28 gamma=90.00
Space group P2_1/m (No. 11)
Symmetry-distinct sites (fractional):
La 0.208 0.250 0.045 x2
La 0.263 0.250 0.570 x2
Ga 0.279 0.750 0.322 x2
Te 0.005 0.005 0.263 x4
Te 0.413 0.750 0.067 x2
Te 0.431 0.750 0.646 x2

The 12 most intense peaks (10 to 90 degrees two-theta), sorted by position:
hkl 0 2 0, 24.11 deg, d = 3.691 Å, intensity 31.2; hkl 1 2 0, 27.36 deg, d = 3.259 Å, intensity 77.3; hkl 1 0 2, 27.67 deg, d = 3.224 Å, intensity 40.2; hkl 2 0 -2, 27.94 deg, d = 3.193 Å, intensity 46.4; hkl 2 1 0, 28.41 deg, d = 3.141 Å, intensity 26.2; hkl 1 1 2, 30.25 deg, d = 2.955 Å, intensity 46.7; hkl 2 1 -2, 30.50 deg, d = 2.931 Å, intensity 49.7; hkl 0 2 2, 32.15 deg, d = 2.784 Å, intensity 100.0; hkl 2 2 0, 35.50 deg, d = 2.529 Å, intensity 34.9; hkl 1 0 -4, 40.52 deg, d = 2.226 Å, intensity 34.3; hkl 3 1 0, 40.87 deg, d = 2.208 Å, intensity 21.2; hkl 0 4 0, 49.38 deg, d = 1.846 Å, intensity 25.9